# HoV2InO8
Simulated powder XRD pattern, λ = 1.5418 Å (Cu Kα). Input: a cell relaxed with PBE+U.
Lines closer than 0.1° are merged.

Main lines, sorted by position (2θ = 10–80°):
| d [Å] | 2θ/deg | Rel. int. |
| --- | --- | --- |
| 4.728 | 18.8 | 38 |
| 3.533 | 25.2 | 100 |
| 2.683 | 33.4 | 74 |
| 2.498 | 35.9 | 20 |
| 2.209 | 40.9 | 14 |
| 1.828 | 49.9 | 60 |
| 1.767 | 51.7 | 16 |
| 1.580 | 58.4 | 14 |
| 1.475 | 63.0 | 17 |
| 1.270 | 74.7 | 13 |

Cell and atoms:
Unit cell a=5.923 b=5.923 c=5.923 alpha=106.76 beta=106.76 gamma=115.04
Atoms (fractional coordinates):
Ho (0.000, 0.000, 0.000)
V (0.500, 0.500, 0.000)
V (0.750, 0.250, 0.500)
In (0.250, 0.750, 0.500)
O (0.325, 0.135, 0.810)
O (0.325, 0.515, 0.190)
O (0.387, 0.075, 0.311)
O (0.485, 0.675, 0.810)
O (0.764, 0.075, 0.689)
O (0.865, 0.675, 0.190)
O (0.925, 0.236, 0.311)
O (0.925, 0.613, 0.689)